Entry 1:
# BaSr3Pd
Calculated powder diffractogram, λ = 1.5418 Å (Cu Kα). Input: a GGA-PBE-relaxed structure.
Intensities are scaled so that the largest is 100.

Principal peaks in the range 2θ from 5° to 70°, in order of rising 2θ:
2theta	I (rel.)
10.1	24.4
12.4	21.9
16.0	21.9
24.8	72.7
25.0	23.4
28.4	52.7
28.9	100.0
40.8	39.0
41.1	37.6
41.3	37.1

Cell lengths 7.622, 8.743, 7.698 Å; angles 90.00, 110.54, 90.00 degrees
Positions (direct):
Ba1 0.248 0.000 0.251
Ba2 0.752 0.000 0.749
Sr1 0.235 0.754 0.749
Sr2 0.242 0.259 0.745
Sr3 0.252 0.504 0.247
Sr4 0.748 0.504 0.753
Sr5 0.758 0.259 0.255
Sr6 0.765 0.754 0.251
Pd1 0.000 0.013 0.500
Pd2 0.000 0.738 0.000

Entry 2:
# HfTl3Cl7
Calculated powder diffractogram, λ = 1.5418 Å (Cu Kα). Input: a GGA-PBE-relaxed structure.
Intensities are scaled so that the largest is 100.

Principal peaks in the range 2θ from 5° to 70°, in order of rising 2θ:
2theta	I (rel.)
20.6	55.4
21.9	48.7
22.6	100.0
24.7	50.7
33.5	26.1
35.9	35.7
36.8	19.7
37.5	18.7
40.0	23.9
41.5	18.1

Cell lengths 7.251, 7.251, 8.310 Å; angles 116.07, 116.07, 84.65 degrees
Positions (direct):
Hf1 0.000 0.000 0.000
Tl1 0.282 0.827 0.555
Tl2 0.558 0.558 0.142
Tl3 0.827 0.282 0.555
Cl1 0.024 0.344 0.294
Cl2 0.180 0.180 0.904
Cl3 0.180 0.689 0.851
Cl4 0.344 0.024 0.294
Cl5 0.689 0.180 0.851
Cl6 0.723 0.723 0.635
Cl7 0.839 0.839 0.119

Entry 3:
# PmPu4Se5
Calculated powder diffractogram, λ = 1.5418 Å (Cu Kα). Input: a GGA-PBE-relaxed structure.
Intensities are scaled so that the largest is 100.

Principal peaks in the range 2θ from 5° to 70°, in order of rising 2θ:
2theta	I (rel.)
8.5	1.8
15.7	1.1
26.2	40.0
30.4	100.0
43.5	75.8
51.5	20.7
54.0	27.0
63.2	12.6
69.7	7.3
69.7	1.5

Cell lengths 10.997, 10.997, 10.997 Å; angles 158.18, 148.97, 38.25 degrees
Positions (direct):
Pm1 0.000 0.000 0.000
Pu1 0.200 0.200 0.000
Pu2 0.401 0.401 0.000
Pu3 0.599 0.599 0.000
Pu4 0.800 0.800 0.000
Se1 0.102 0.602 0.500
Se2 0.301 0.801 0.500
Se3 0.500 0.000 0.500
Se4 0.699 0.199 0.500
Se5 0.898 0.398 0.500